Structure and theoretical PXRD pattern of YH9C5N2O8 (DFT lattice parameters and positions (PBE); Cu Kα, 1.54184 Å).
Lines closer than 0.1° are merged.

Top 12 peaks for 2θ from 10° to 80°, in order of rising 2θ:
| 2theta | I_rel |
| --- | --- |
| 14.2 | 38 |
| 14.7 | 100 |
| 16.5 | 27 |
| 18.4 | 45 |
| 22.4 | 41 |
| 27.8 | 30 |
| 29.6 | 52 |
| 30.4 | 18 |
| 33.5 | 21 |
| 35.4 | 26 |
| 38.0 | 18 |
| 44.0 | 19 |

Unit cell a=6.763 b=6.763 c=6.614 alpha=106.39 beta=106.39 gamma=65.35
Fractional positions:
1 Y 0.000 0.000 0.000
2 H 0.162 0.468 0.118
3 H 0.270 0.489 0.536
4 H 0.363 0.205 0.405
5 H 0.511 0.730 0.464
6 H 0.532 0.838 0.882
7 H 0.541 0.439 0.826
8 H 0.561 0.459 0.174
9 H 0.795 0.637 0.595
10 H 0.923 0.077 0.500
11 C 0.051 0.471 0.958
12 C 0.074 0.926 0.500
13 C 0.529 0.949 0.042
14 C 0.537 0.289 0.705
15 C 0.711 0.463 0.295
16 N 0.376 0.328 0.537
17 N 0.672 0.624 0.463
18 O 0.000 0.640 0.875
19 O 0.150 0.840 0.667
20 O 0.160 0.850 0.333
21 O 0.360 0.000 0.125
22 O 0.677 0.101 0.733
23 O 0.686 0.016 0.128
24 O 0.899 0.323 0.267
25 O 0.984 0.314 0.872

***

Structure and theoretical PXRD pattern of ZnH3CNO3 (DFT lattice parameters and positions (PBE); Cu Kα, 1.54184 Å).
Lines closer than 0.1° are merged.

Top 12 peaks for 2θ from 10° to 80°, in order of rising 2θ:
| 2theta | I_rel |
| --- | --- |
| 14.9 | 34 |
| 20.0 | 100 |
| 21.9 | 28 |
| 22.0 | 48 |
| 23.5 | 18 |
| 24.6 | 52 |
| 25.2 | 11 |
| 30.1 | 30 |
| 39.7 | 21 |
| 40.4 | 37 |
| 41.7 | 22 |
| 42.7 | 20 |

Unit cell a=9.624 b=7.587 c=5.481 alpha=90.00 beta=90.00 gamma=90.00
Fractional positions:
1 Zn 0.148 0.171 0.000
2 Zn 0.352 0.671 0.500
3 Zn 0.648 0.329 0.000
4 Zn 0.852 0.829 0.500
5 H 0.035 0.648 0.306
6 H 0.059 0.265 0.580
7 H 0.110 0.451 0.714
8 H 0.390 0.951 0.214
9 H 0.441 0.765 0.080
10 H 0.465 0.148 0.806
11 H 0.535 0.852 0.306
12 H 0.559 0.235 0.580
13 H 0.610 0.049 0.714
14 H 0.890 0.549 0.214
15 H 0.941 0.735 0.080
16 H 0.965 0.352 0.806
17 C 0.118 0.846 0.738
18 C 0.382 0.346 0.238
19 C 0.618 0.654 0.738
20 C 0.882 0.154 0.238
21 N 0.065 0.330 0.745
22 N 0.435 0.830 0.245
23 N 0.565 0.170 0.745
24 N 0.935 0.670 0.245
25 O 0.014 0.124 0.268
26 O 0.158 0.710 0.610
27 O 0.210 0.946 0.839
28 O 0.290 0.446 0.339
29 O 0.342 0.210 0.110
30 O 0.486 0.624 0.768
31 O 0.514 0.376 0.268
32 O 0.658 0.790 0.610
33 O 0.710 0.554 0.839
34 O 0.790 0.054 0.339
35 O 0.842 0.290 0.110
36 O 0.986 0.876 0.768

***

Q: Which formula does entry 2 have?
A: ZnH3CNO3